# 1
Calculated X-ray diffraction stick pattern of Li4V3Fe2Sb3O16 for λ = 1.5418 Å (Cu Kα), from the PBE+U geometry in the Materials Project.
No peak broadening, texture or thermal motion is included.

Structure:
```
28
Lattice="5.3325 -3.0808 0.0000 5.3325 3.0808 0.0000 -0.0508 0.0000 9.9368" Properties=species:S:1:pos:R:3 pbc="T T T"
Li 0.0000 0.0000 0.0000
Li 0.0067 0.0000 4.8146
Li 3.5572 0.0000 5.8609
Li 7.1704 0.0000 1.1550
V 4.5239 1.5183 2.7456
V 4.5239 -1.5183 2.7456
V 8.9279 0.0000 7.6863
Fe 3.7617 0.0000 0.1303
Fe 7.2489 0.0000 4.7333
Sb 1.8984 0.0000 2.7376
Sb 6.2859 1.5212 7.6954
Sb 6.2859 -1.5212 7.6954
O 0.0964 0.0000 6.6572
O 0.1434 0.0000 1.7602
O 2.8150 1.3744 1.5673
O 1.7058 0.0000 8.8119
O 4.5922 1.6454 8.7497
O 6.2831 1.6451 3.8690
O 3.5742 0.0000 3.8662
O 2.8150 -1.3744 1.5673
O 5.2232 0.0000 1.5815
O 5.5220 0.0000 6.5658
O 7.9394 1.3959 6.6084
O 7.1186 0.0000 8.8161
O 4.5922 -1.6454 8.7497
O 9.0867 0.0000 3.7847
O 6.2831 -1.6451 3.8690
O 7.9394 -1.3959 6.6084
```

Main lines, sorted by position (2θ = 10–80°):
2θ = 17.85°, rel. 100; 2θ = 18.90°, rel. 95; 2θ = 24.46°, rel. 34; 2θ = 34.83°, rel. 82; 2θ = 43.64°, rel. 35; 2θ = 60.08°, rel. 39


# 2
Calculated X-ray diffraction stick pattern of Mn3Zn9P8O32 for λ = 1.5418 Å (Cu Kα), from the PBE+U geometry in the Materials Project.
No peak broadening, texture or thermal motion is included.

Structure:
```
52
Lattice="5.1265 0.0000 0.0000 -0.6974 11.5645 0.0000 -0.6438 -1.4276 11.4866" Properties=species:S:1:pos:R:3 pbc="T T T"
Mn 0.0000 0.0000 0.0000
Mn -0.6706 5.0685 5.7433
Mn 2.2414 -0.7138 5.7433
Zn -0.3354 3.3198 8.5339
Zn -0.3646 9.8127 2.7868
Zn 1.2286 7.8702 7.1404
Zn 1.9031 2.8100 1.3946
Zn 2.2145 5.7823 0.0000
Zn 1.8822 7.3270 10.0920
Zn 2.5567 2.2667 4.3462
Zn 4.1498 0.3243 8.6998
Zn 4.1207 6.8172 2.9526
P -0.3264 8.0338 0.0420
P -0.2883 1.5590 5.7812
P 1.8478 5.3133 3.4709
P 1.1781 10.3805 9.2261
P 2.6071 -0.2436 2.2604
P 1.9374 4.8237 8.0157
P 4.0735 8.5780 5.7054
P 4.1116 2.1031 11.4446
O -0.3247 1.6450 7.3443
O -0.3539 8.1382 1.6026
O 0.1778 2.1890 0.5699
O -0.4906 7.2408 6.3122
O -0.1366 9.6994 6.2115
O 0.5691 4.6509 0.4545
O 0.4040 -0.7974 9.5375
O 0.3782 5.6994 3.7913
O 0.5022 6.3388 11.1015
O 1.1824 1.2979 5.3575
O 1.0181 4.4599 6.8417
O 0.9906 10.9591 1.0871
O 1.3824 4.0617 9.2780
O 1.3548 10.5542 3.5146
O 1.8897 3.7696 3.2021
O 1.2199 8.8380 8.9483
O 2.5654 1.2990 2.5383
O 1.8956 6.3674 8.2845
O 2.4305 -0.4173 7.9720
O 2.4029 6.0753 2.2086
O 2.7947 -0.8221 10.3995
O 2.7672 5.6770 4.6449
O 2.6028 8.8391 6.1290
O 3.2831 3.7981 0.3851
O 3.4071 4.4376 7.6953
O 3.3813 10.9344 1.9491
O 3.2161 5.4860 11.0321
O 3.9219 0.4376 5.2751
O 4.2758 2.8961 5.1743
O 3.6075 7.9480 10.9167
O 4.1392 1.9988 9.8840
O 4.1099 8.4920 4.1423
```

Main lines, sorted by position (2θ = 10–80°):
2θ = 20.04°, rel. 88; 2θ = 21.74°, rel. 36; 2θ = 25.42°, rel. 100; 2θ = 34.84°, rel. 41; 2θ = 35.14°, rel. 29; 2θ = 35.69°, rel. 50


# 3
Calculated X-ray diffraction stick pattern of MgTi2Tl2W2O10F2 for λ = 1.5418 Å (Cu Kα), from the PBE+U geometry in the Materials Project.
No peak broadening, texture or thermal motion is included.

Structure:
```
19
Lattice="6.3045 -3.8273 0.0000 6.3045 3.8273 0.0000 -4.2983 0.0000 6.0142" Properties=species:S:1:pos:R:3 pbc="T T T"
Mg 0.0000 0.0000 0.0000
Ti 1.0522 -1.1217 3.0823
Ti 7.2585 -1.1217 2.9319
Tl 3.7082 -1.9380 0.5950
Tl 4.6025 -1.9380 5.4192
W 4.1554 0.8607 3.0071
W 6.3045 0.8239 0.0000
O 1.2326 2.3517 4.9175
O 2.8057 2.1380 2.6686
O 7.0782 2.3517 1.0967
O 4.6708 0.7718 1.0941
O 5.5051 2.1380 3.3456
O 1.2035 -0.5786 4.8272
O 2.8416 -0.5921 2.6638
O 3.6400 0.7718 4.9201
O 5.4692 -0.5921 3.3504
O 7.1072 -0.5786 1.1871
F 0.3730 0.7989 2.4863
F 7.9378 0.7989 3.5279
```

Main lines, sorted by position (2θ = 10–80°):
2θ = 14.44°, rel. 85; 2θ = 27.66°, rel. 49; 2θ = 28.17°, rel. 100; 2θ = 28.59°, rel. 90; 2θ = 29.11°, rel. 55; 2θ = 29.88°, rel. 51